Entry 1:
Simulated PXRD pattern of Sm3AsPb for Cu Kα (λ = 1.5418 Å), from a cell relaxed with PBE.
Intensities are scaled so that the largest is 1000.

Structural model:
```
20
Lattice="8.7033 0.0000 0.0000 0.0000 4.3918 0.0000 0.0000 0.0000 15.5705" Properties=species:S:1:pos:R:3 pbc="T T T"
Sm 0.1714 1.0980 1.6788
Sm 1.3295 1.0980 8.1938
Sm 1.5364 3.2939 4.3975
Sm 2.8152 1.0980 12.1827
Sm 3.0222 3.2939 0.4085
Sm 4.1803 3.2939 9.4641
Sm 4.5230 1.0980 6.1065
Sm 5.6811 1.0980 15.1620
Sm 5.8881 3.2939 3.3878
Sm 7.1669 1.0980 11.1731
Sm 7.3738 3.2939 7.3768
Sm 8.5319 3.2939 13.8917
As 1.5933 1.0980 14.7151
As 2.7583 3.2939 6.9299
As 5.9450 1.0980 8.6407
As 7.1100 3.2939 0.8554
Pb 0.8684 3.2939 10.6319
Pb 3.4833 1.0980 2.8467
Pb 5.2200 3.2939 12.7239
Pb 7.8349 1.0980 4.9386
```

Most intense lines, 2θ = 5–70°, by angle:
2θ/deg, I (rel.)
28.53, 510
29.46, 445
30.49, 483
30.82, 180
31.13, 1000
32.41, 199
35.33, 328
41.12, 515
45.81, 164
52.03, 220

***

Entry 2:
Simulated PXRD pattern of Sn2As2Pb for Cu Kα (λ = 1.5418 Å), from a cell relaxed with PBE.
Intensities are scaled so that the largest is 1000.

Structural model:
```
5
Lattice="-1.9390 1.9390 8.8773 1.9390 -1.9390 8.8773 1.9390 1.9390 -8.8773" Properties=species:S:1:pos:R:3 pbc="T T T"
Sn 0.0000 0.0000 1.9907
Sn 0.0000 0.0000 15.7640
As 1.9390 0.0000 4.4387
As 0.0000 1.9390 4.4387
Pb 0.0000 0.0000 8.8773
```

Most intense lines, 2θ = 5–70°, by angle:
2θ/deg, I (rel.)
27.50, 553
32.66, 140
34.23, 1000
40.65, 140
45.07, 82
46.85, 221
55.19, 167
59.30, 230
62.30, 168
63.73, 151

***

Entry 3:
Simulated PXRD pattern of SrAsPb for Cu Kα (λ = 1.5418 Å), from a cell relaxed with PBE.
Intensities are scaled so that the largest is 1000.

Structural model:
```
6
Lattice="3.0209 -4.4839 0.0000 3.0209 4.4839 0.0000 0.0000 0.0000 6.5424" Properties=species:S:1:pos:R:3 pbc="T T T"
Sr 3.0209 3.0755 4.9068
Sr 3.0209 -3.0755 1.6356
As 3.0209 2.7546 1.6356
As 3.0209 -2.7546 4.9068
Pb 3.0209 0.0000 0.0000
Pb 3.0209 0.0000 3.2712
```

Most intense lines, 2θ = 5–70°, by angle:
2θ/deg, I (rel.)
17.70, 439
29.57, 566
32.69, 1000
33.44, 775
33.92, 511
45.61, 451
54.47, 239
54.98, 189
60.87, 195
67.04, 210

***

Entry 4:
Simulated PXRD pattern of Tc4AsPb for Cu Kα (λ = 1.5418 Å), from a cell relaxed with PBE.
Intensities are scaled so that the largest is 1000.

Structural model:
```
6
Lattice="0.0000 3.7271 3.7271 3.7271 0.0000 3.7271 3.7271 3.7271 0.0000" Properties=species:S:1:pos:R:3 pbc="T T T"
Tc 0.9236 0.9236 0.9236
Tc 2.8035 2.8035 0.9236
Tc 2.8035 0.9236 2.8035
Tc 0.9236 2.8035 2.8035
As 5.5907 5.5907 5.5907
Pb 3.7271 3.7271 3.7271
```

Most intense lines, 2θ = 5–70°, by angle:
2θ/deg, I (rel.)
20.64, 75
23.87, 97
34.02, 372
40.12, 1000
41.99, 308
48.87, 11
53.59, 25
55.10, 37
60.88, 142
65.01, 321

***

Entry 5:
Simulated PXRD pattern of Ti3AsPb for Cu Kα (λ = 1.5418 Å), from a cell relaxed with PBE.
Intensities are scaled so that the largest is 1000.

Structural model:
```
5
Lattice="4.7572 0.0000 0.0000 0.0000 4.7572 0.0000 0.0000 0.0000 4.7572" Properties=species:S:1:pos:R:3 pbc="T T T"
Ti 0.0000 0.0000 2.3786
Ti 0.0000 2.3786 0.0000
Ti 2.3786 0.0000 0.0000
As 0.0000 0.0000 0.0000
Pb 2.3786 2.3786 2.3786
```

Most intense lines, 2θ = 5–70°, by angle:
2θ/deg, I (rel.)
18.65, 112
26.50, 1000
32.60, 529
37.82, 654
42.49, 72
46.78, 452
54.56, 441
61.66, 203
65.02, 206
68.30, 148

***

Entry 6:
Simulated PXRD pattern of Tl5AsPb for Cu Kα (λ = 1.5418 Å), from a cell relaxed with PBE.
Intensities are scaled so that the largest is 1000.

Structural model:
```
14
Lattice="-4.4783 4.4891 5.4809 4.4783 -4.4891 5.4809 4.4783 4.4891 -5.4809" Properties=species:S:1:pos:R:3 pbc="T T T"
Tl 2.2392 4.2749 -2.7404
Tl 2.2392 -0.2142 2.7404
Tl 2.7498 2.2446 -0.0256
Tl 6.2068 2.2446 -0.0256
Tl 0.0000 2.2446 2.5113
Tl 4.4783 2.2446 2.9696
Tl -1.7285 2.2446 5.5065
Tl 1.7285 2.2446 5.5065
Tl -2.2392 4.7034 2.7404
Tl 2.2392 4.7034 2.7404
As 4.4783 -2.2446 3.1183
As 0.0000 6.7337 2.3626
Pb 0.0000 0.0000 0.0000
Pb 0.0000 4.4891 0.0000
```

Most intense lines, 2θ = 5–70°, by angle:
2θ/deg, I (rel.)
23.62, 165
31.03, 148
32.64, 1000
33.16, 140
40.18, 124
40.28, 73
51.63, 76
52.74, 164
58.27, 170
68.30, 123

***

Entry 7:
Simulated PXRD pattern of As2PbW for Cu Kα (λ = 1.5418 Å), from a cell relaxed with PBE.
Intensities are scaled so that the largest is 1000.

Structural model:
```
4
Lattice="3.3446 0.0000 0.0000 0.0000 3.4160 0.0000 0.0000 0.0000 7.6600" Properties=species:S:1:pos:R:3 pbc="T T T"
As 0.0000 0.0000 0.0000
As 0.0000 1.7080 2.9588
Pb 1.6723 1.7080 5.4903
W 1.6723 0.0000 1.8846
```

Most intense lines, 2θ = 5–70°, by angle:
2θ/deg, I (rel.)
23.22, 386
26.65, 187
28.61, 856
35.64, 805
39.50, 1000
44.29, 334
52.44, 249
54.92, 205
63.07, 190
66.09, 271

***

Entry 8:
Simulated PXRD pattern of ZnAsPb2 for Cu Kα (λ = 1.5418 Å), from a cell relaxed with PBE.
Intensities are scaled so that the largest is 1000.

Structural model:
```
4
Lattice="4.6972 0.0000 0.0000 0.0000 3.9638 0.0000 -2.3423 0.0000 5.5482" Properties=species:S:1:pos:R:3 pbc="T T T"
Zn 0.0000 0.0000 0.0000
As 2.3972 1.9819 3.9147
Pb 0.0379 0.0000 2.9840
Pb 2.3621 1.9819 0.8975
```

Most intense lines, 2θ = 5–70°, by angle:
2θ/deg, I (rel.)
27.66, 259
30.59, 1000
30.77, 547
38.36, 432
39.66, 282
45.78, 158
50.97, 147
56.18, 206
56.33, 203
64.56, 158

***

Entry 9:
Simulated PXRD pattern of Zr5AsPb3 for Cu Kα (λ = 1.5418 Å), from a cell relaxed with PBE.
Intensities are scaled so that the largest is 1000.

Structural model:
```
18
Lattice="8.8020 0.0000 0.0000 -4.4010 7.6228 0.0000 0.0000 0.0000 6.0346" Properties=species:S:1:pos:R:3 pbc="T T T"
Zr -1.1361 1.9678 1.5087
Zr -3.2649 5.6549 4.5260
Zr 2.2722 0.0000 1.5087
Zr 1.1361 1.9678 4.5260
Zr 0.0000 5.0818 0.0000
Zr 0.0000 5.0818 3.0173
Zr 4.4010 2.5409 0.0000
Zr 4.4010 2.5409 3.0173
Zr 6.5298 0.0000 4.5260
Zr 3.2649 5.6549 1.5087
As 0.0000 0.0000 0.0000
As 0.0000 0.0000 3.0173
Pb -1.7393 3.0125 4.5260
Pb -2.6617 4.6102 1.5087
Pb 3.4786 0.0000 4.5260
Pb 1.7393 3.0125 1.5087
Pb 5.3234 0.0000 1.5087
Pb 2.6617 4.6102 4.5260
```

Most intense lines, 2θ = 5–70°, by angle:
2θ/deg, I (rel.)
25.04, 360
29.61, 257
34.50, 1000
35.32, 694
36.09, 945
45.46, 458
55.73, 254
63.89, 270
66.75, 205
69.02, 163

***

Entry 10:
Simulated PXRD pattern of ZrAs2Pb for Cu Kα (λ = 1.5418 Å), from a cell relaxed with PBE.
Intensities are scaled so that the largest is 1000.

Structural model:
```
4
Lattice="1.9876 1.1475 7.1498 -1.9876 1.1475 7.1498 0.0000 -2.2951 7.1498" Properties=species:S:1:pos:R:3 pbc="T T T"
Zr 0.0000 0.0000 0.0000
As 0.0000 0.0000 5.5827
As 0.0000 0.0000 15.8667
Pb 0.0000 0.0000 10.7247
```

Most intense lines, 2θ = 5–70°, by angle:
2θ/deg, I (rel.)
12.38, 75
26.22, 106
27.21, 140
30.87, 1000
33.37, 104
42.75, 384
45.64, 348
51.10, 68
56.12, 184
64.31, 114

***

Entry 11:
Simulated PXRD pattern of AsPd3 for Cu Kα (λ = 1.5418 Å), from a cell relaxed with PBE.
Intensities are scaled so that the largest is 1000.

Structural model:
```
32
Lattice="10.1455 0.0000 0.0000 0.0000 10.1455 0.0000 0.0000 0.0000 4.9003" Properties=species:S:1:pos:R:3 pbc="T T T"
As 0.3503 2.0842 0.1097
As 2.0842 4.7225 2.3404
As 2.9885 0.3503 2.3404
As 4.7225 2.9885 0.1097
As 5.4230 7.1570 4.7906
As 7.1570 9.7953 2.5599
As 8.0613 5.4230 2.5599
As 9.7953 8.0613 4.7906
Pd 0.2652 5.8115 3.6924
Pd 0.7388 9.8803 1.2423
Pd 1.1478 2.2462 2.5612
Pd 1.4107 6.8568 1.2338
Pd 1.7840 8.7348 3.6840
Pd 2.2462 3.9250 4.7893
Pd 2.8266 1.1478 4.7893
Pd 3.2888 6.4835 3.6840
Pd 3.6621 8.3615 1.2338
Pd 3.9250 2.8266 2.5612
Pd 4.3340 5.3380 1.2423
Pd 4.8076 9.4068 3.6924
Pd 5.3380 0.7388 1.2079
Pd 5.8115 4.8076 3.6580
Pd 6.2206 7.3190 2.3392
Pd 6.4835 1.7840 3.6665
Pd 6.8568 3.6621 1.2164
Pd 7.3190 8.9977 0.1110
Pd 7.8993 6.2206 0.1110
Pd 8.3615 1.4107 1.2164
Pd 8.7348 3.2888 3.6665
Pd 8.9977 7.8993 2.3392
Pd 9.4068 0.2652 3.6580
Pd 9.8803 4.3340 1.2079
```

Most intense lines, 2θ = 5–70°, by angle:
2θ/deg, I (rel.)
36.83, 1000
37.61, 312
38.84, 674
39.73, 529
40.03, 236
41.05, 829
43.98, 247
44.80, 351
45.59, 297
46.64, 405

***

Entry 12:
Simulated PXRD pattern of As2Pd5 for Cu Kα (λ = 1.5418 Å), from a cell relaxed with PBE.
Intensities are scaled so that the largest is 1000.

Structural model:
```
42
Lattice="7.4243 0.0000 0.0000 -3.7122 6.4296 0.0000 0.0000 0.0000 13.8733" Properties=species:S:1:pos:R:3 pbc="T T T"
As 0.0000 0.0000 0.0000
As 0.0000 0.0000 6.9366
As -1.2132 2.1013 3.7511
As -2.4990 4.3283 10.6877
As 2.4264 0.0000 3.7511
As 1.2132 2.1013 10.6877
As 0.0000 4.2864 0.5885
As 0.0000 4.2864 7.5252
As 3.7122 2.1432 0.5885
As 3.7122 2.1432 7.5252
As 4.9979 0.0000 10.6877
As 2.4990 4.3283 3.7511
Pd 0.0000 0.0000 2.8300
Pd 0.0000 0.0000 9.7667
Pd -0.8967 1.5531 12.0695
Pd -1.0984 1.9025 1.0642
Pd -1.4338 2.4834 9.4547
Pd -1.4719 2.5494 6.4198
Pd -2.2403 3.8803 13.3564
Pd -2.2783 3.9462 2.5181
Pd -2.6137 4.5271 8.0009
Pd -2.8155 4.8766 5.1329
Pd 1.7934 0.0000 12.0695
Pd 0.8967 1.5531 5.1329
Pd 2.1968 0.0000 1.0642
Pd 1.0984 1.9025 8.0009
Pd 0.0000 4.2864 4.5480
Pd 0.0000 4.2864 11.4847
Pd 2.8676 0.0000 9.4547
Pd 1.4338 2.4834 2.5181
Pd 2.9438 0.0000 6.4198
Pd 1.4719 2.5494 13.3564
Pd 4.4805 0.0000 13.3564
Pd 2.2403 3.8803 6.4198
Pd 4.5567 0.0000 2.5181
Pd 2.2783 3.9462 9.4547
Pd 3.7122 2.1432 4.5480
Pd 3.7122 2.1432 11.4847
Pd 5.2275 0.0000 8.0009
Pd 2.6137 4.5271 1.0642
Pd 5.6310 0.0000 5.1329
Pd 2.8155 4.8766 12.0695
```

Most intense lines, 2θ = 5–70°, by angle:
2θ/deg, I (rel.)
35.42, 106
37.57, 383
38.17, 461
40.59, 1000
42.16, 839
45.58, 166
46.26, 99
51.68, 112
59.96, 116
69.22, 205

***

What did the first record say?
Simulated PXRD pattern of Sm3AsPb for Cu Kα (λ = 1.5418 Å), from a cell relaxed with PBE.
Intensities are scaled so that the largest is 1000.

Structural model:
```
20
Lattice="8.7033 0.0000 0.0000 0.0000 4.3918 0.0000 0.0000 0.0000 15.5705" Properties=species:S:1:pos:R:3 pbc="T T T"
Sm 0.1714 1.0980 1.6788
Sm 1.3295 1.0980 8.1938
Sm 1.5364 3.2939 4.3975
Sm 2.8152 1.0980 12.1827
Sm 3.0222 3.2939 0.4085
Sm 4.1803 3.2939 9.4641
Sm 4.5230 1.0980 6.1065
Sm 5.6811 1.0980 15.1620
Sm 5.8881 3.2939 3.3878
Sm 7.1669 1.0980 11.1731
Sm 7.3738 3.2939 7.3768
Sm 8.5319 3.2939 13.8917
As 1.5933 1.0980 14.7151
As 2.7583 3.2939 6.9299
As 5.9450 1.0980 8.6407
As 7.1100 3.2939 0.8554
Pb 0.8684 3.2939 10.6319
Pb 3.4833 1.0980 2.8467
Pb 5.2200 3.2939 12.7239
Pb 7.8349 1.0980 4.9386
```

Most intense lines, 2θ = 5–70°, by angle:
2θ/deg, I (rel.)
28.53, 510
29.46, 445
30.49, 483
30.82, 180
31.13, 1000
32.41, 199
35.33, 328
41.12, 515
45.81, 164
52.03, 220